Structure and theoretical powder diffractogram of Np2HgCl6 (a cell relaxed with GGA-PBE; copper Kα).
Intensities are scaled so that the largest is 100.

Structural model:
abc: 7.2293 7.2293 8.7444
angles: 90.00 90.00 120.00
Space group P-31m (No. 162)
Unique sites:
Np (0.3333, 0.6667, 0.0000) x2
Hg (0.0000, 0.0000, 0.5000) x1
Cl (0.0000, 0.3755, 0.1730) x6

Main lines, in order of falling intensity (2θ from 10° to 90°):
| two_theta | Rel. int. | hkl |
| --- | --- | --- |
| 17.4 | 100 | 1 0 1 |
| 32.1 | 62 | 2 -1 2 |
| 10.1 | 39 | 0 0 1 |
| 24.6 | 34 | 1 1 0 |
| 39.4 | 26 | 3 -1 1 |
| 30.3 | 21 | 2 0 1 |
| 48.7 | 19 | 1 1 4 |
| 43.4 | 18 | 3 0 0 |
| 20.3 | 16 | 0 0 2 |
| 33.9 | 16 | 1 0 3 |